This entry pairs a crystal structure of VP4O12 with its theoretical powder XRD pattern. Radiation: copper Kα. Structure: a PBE+U-relaxed structure.
Intensities are scaled so that the largest is 100.

Top 6 peaks for 2θ from 10° to 80°, in order of falling intensity:
11.9 deg, d = 7.434 Å, I 100, (1 1 0)
25.6 deg, d = 3.473 Å, I 85, (0 4 0)
23.3 deg, d = 3.813 Å, I 60, (2 2 -1)
20.2 deg, d = 4.400 Å, I 58, (2 0 0)
14.3 deg, d = 6.212 Å, I 53, (1 1 -1)
17.7 deg, d = 5.002 Å, I 41, (0 2 1)

Crystal structure
a = 9.4416 Å, b = 13.8942 Å, c = 7.7335 Å
α = 90.00°, β = 111.25°, γ = 90.00°
Space group C2/c (No. 15)
Unique sites:
V: 0.0000 0.1325 0.2500 x4
P: 0.0603 0.3323 0.1032 x8
P: 0.1339 0.0804 0.6942 x8
O: 0.0000 0.1265 0.7500 x4
O: 0.0000 0.3854 0.2500 x4
O: 0.0425 0.3419 0.5891 x8
O: 0.1130 0.2304 0.1884 x8
O: 0.1212 0.0282 0.1944 x8
O: 0.1355 0.1243 0.5162 x8
O: 0.2194 0.3885 0.1385 x8